Entry 1:
Simulated powder X-ray diffraction pattern of CsCd6Au3 for CuKα, from a structure optimized by DFT (GGA-PBE).
Kinematic intensities with the Lorentz-polarization factor, no thermal factor.

Principal peaks in the range 10° ≤ 2θ ≤ 90°, sorted by position:
2theta, I (rel.)
12.8, 53
17.9, 42
28.1, 41
30.8, 50
32.6, 76
32.9, 56
35.9, 40
36.1, 100
38.9, 69
40.0, 37

Crystal structure
Lattice parameters (Å, degrees): 7.384 7.145 10.616 90.00 110.89 90.00
Element x y z (fractional)
Cs 0.000 0.000 0.000
Cs 0.000 0.500 0.500
Cd 0.069 0.018 0.659
Cd 0.069 0.482 0.159
Cd 0.278 0.194 0.346
Cd 0.278 0.306 0.846
Cd 0.429 0.717 0.799
Cd 0.429 0.783 0.299
Cd 0.571 0.217 0.701
Cd 0.571 0.283 0.201
Cd 0.722 0.694 0.154
Cd 0.722 0.806 0.654
Cd 0.931 0.518 0.841
Cd 0.931 0.982 0.341
Au 0.324 0.611 0.034
Au 0.324 0.889 0.534
Au 0.500 0.000 0.000
Au 0.500 0.500 0.500
Au 0.676 0.111 0.466
Au 0.676 0.389 0.966


Entry 2:
Simulated powder X-ray diffraction pattern of K4Al2Au5 for CuKα, from a structure optimized by DFT (GGA-PBE).
Kinematic intensities with the Lorentz-polarization factor, no thermal factor.

Principal peaks in the range 10° ≤ 2θ ≤ 90°, sorted by position:
2theta, I (rel.)
12.3, 17
13.9, 100
21.7, 15
26.7, 18
28.0, 51
29.9, 17
32.7, 22
32.8, 26
40.5, 19
40.6, 40

Crystal structure
Lattice parameters (Å, degrees): 15.247 15.247 15.247 147.45 39.11 158.91
Element x y z (fractional)
K 0.055 0.706 0.761
K 0.157 0.160 0.317
K 0.343 0.660 0.004
K 0.445 0.206 0.651
K 0.555 0.794 0.349
K 0.657 0.340 0.996
K 0.843 0.840 0.683
K 0.945 0.294 0.239
Al 0.017 0.750 0.267
Al 0.483 0.750 0.733
Al 0.517 0.250 0.267
Al 0.983 0.250 0.733
Au 0.155 0.534 0.689
Au 0.230 0.779 0.009
Au 0.250 0.250 0.000
Au 0.270 0.279 0.548
Au 0.345 0.034 0.380
Au 0.655 0.966 0.620
Au 0.730 0.721 0.452
Au 0.750 0.750 0.000
Au 0.770 0.221 0.991
Au 0.845 0.466 0.311